Diffraction record for LaNi12Ge4. The PXRD pattern is theoretical, not measured: it uses DFT lattice parameters and positions (GGA-PBE) and a wavelength of 1.5418 Å.
Lines closer than 0.1° are merged.

```
data_LaNi12Ge4
_space_group_name_H-M_alt 'P 1'
_space_group_IT_number 1
_space_group_name_Hall 'P 1'
_cell_length_a 6.902
_cell_length_b 6.902
_cell_length_c 6.902
_cell_angle_alpha 109.47
_cell_angle_beta 109.47
_cell_angle_gamma 109.47
loop_
_atom_site_label
_atom_site_type_symbol
_atom_site_fract_x
_atom_site_fract_y
_atom_site_fract_z
La1 La 0.000 0.000 0.000
Ni1 Ni 0.155 0.356 0.510
Ni2 Ni 0.155 0.644 0.799
Ni3 Ni 0.201 0.845 0.356
Ni4 Ni 0.356 0.201 0.845
Ni5 Ni 0.356 0.510 0.155
Ni6 Ni 0.490 0.845 0.644
Ni7 Ni 0.510 0.155 0.356
Ni8 Ni 0.644 0.490 0.845
Ni9 Ni 0.644 0.799 0.155
Ni10 Ni 0.799 0.155 0.644
Ni11 Ni 0.845 0.356 0.201
Ni12 Ni 0.845 0.644 0.490
Ge1 Ge 0.000 0.000 0.500
Ge2 Ge 0.000 0.500 0.000
Ge3 Ge 0.500 0.000 0.000
Ge4 Ge 0.500 0.500 0.500
```

Most intense lines, 2θ = 15–90°, sorted by position:
Position (°2θ)	I_rel
31.76	25.9
35.62	100.0
42.44	45.7
51.26	21.8
56.57	36.8
59.10	38.0
75.43	11.3
82.00	12.0



Diffraction record for CaNd6Sm4. The PXRD pattern is theoretical, not measured: it uses DFT lattice parameters and positions (GGA-PBE) and a wavelength of 1.5418 Å.
Lines closer than 0.1° are merged.

```
data_CaNd6Sm4
_space_group_name_H-M_alt 'P 1'
_space_group_IT_number 1
_space_group_name_Hall 'P 1'
_cell_length_a 10.086
_cell_length_b 10.086
_cell_length_c 10.086
_cell_angle_alpha 141.34
_cell_angle_beta 141.34
_cell_angle_gamma 55.82
loop_
_atom_site_label
_atom_site_type_symbol
_atom_site_fract_x
_atom_site_fract_y
_atom_site_fract_z
Ca1 Ca 0.000 0.000 0.000
Nd1 Nd 0.000 0.500 0.500
Nd2 Nd 0.196 0.196 0.654
Nd3 Nd 0.458 0.804 0.000
Nd4 Nd 0.500 0.000 0.500
Nd5 Nd 0.542 0.542 0.346
Nd6 Nd 0.804 0.458 0.000
Sm1 Sm 0.006 0.634 0.000
Sm2 Sm 0.366 0.366 0.372
Sm3 Sm 0.634 0.006 0.000
Sm4 Sm 0.994 0.994 0.628
```

Most intense lines, 2θ = 15–90°, sorted by position:
Position (°2θ)	I_rel
21.30	27.1
27.52	47.8
28.55	49.9
30.08	27.6
30.35	100.0
33.55	51.8
35.71	34.7
39.36	40.8